Simulated powder X-ray diffraction pattern
Compound: RbBaCu3
Radiation: λ = 1.5418 Å (Cu Kα)
Structure: a structure optimized by DFT (GGA-PBE)
Peak positions follow from Bragg's law for the DFT cell and can differ from measured ones.

Principal peaks in the range 10 to 90 degrees two-theta, low angle first:
14.89°, d 5.948, intensity 18, hkl 1 0 0; 25.94°, d 3.434, intensity 55, hkl 1 1 0; 28.52°, d 3.130, intensity 100, hkl 1 0 2; 30.05°, d 2.974, intensity 29, hkl 2 0 0; 35.76°, d 2.511, intensity 61, hkl 1 1 2; 38.93°, d 2.313, intensity 23, hkl 2 0 2; 40.11°, d 2.248, intensity 42, hkl 2 1 0; 52.42°, d 1.746, intensity 44, hkl 3 0 2; 65.56°, d 1.424, intensity 18, hkl 2 1 4; 74.11°, d 1.279, intensity 15, hkl 3 2 2

Crystal structure
```
RbBaCu3
1.0
6.8687 0.0000 0.0000
-3.4343 5.9485 0.0000
0.0000 0.0000 7.3605
Rb Ba Cu
2 2 6
Cartesian
0.0000 0.0000 0.0000
0.0000 0.0000 3.6802
3.4343 1.9828 0.0000
3.4343 1.9828 3.6802
-1.0918 3.1018 1.8401
-1.2940 3.4520 5.5204
1.0918 3.1018 5.5204
-0.2022 5.3431 1.8401
1.2940 3.4520 1.8401
0.2022 5.3431 5.5204
```